No. 1
This entry pairs a crystal structure of K2NaTlF6 with its calculated powder diffraction line list. Radiation: copper Kα. Structure: the PBE geometry in the Materials Project.
Lines closer than 0.1° are merged.

The 10 most intense peaks (2θ from 15° to 90°), by angle:
| index | 2θ/deg | I (rel.) |
| --- | --- | --- |
| 1 1 1 | 17.27 | 95.7 |
| 2 0 0 | 19.97 | 53.8 |
| 2 2 0 | 28.39 | 100.0 |
| 3 1 1 | 33.42 | 55.6 |
| 4 0 0 | 40.59 | 47.5 |
| 3 3 1 | 44.41 | 24.8 |
| 4 2 0 | 45.63 | 26.4 |
| 4 2 2 | 50.27 | 41.2 |
| 5 1 1 | 53.55 | 21.2 |
| 4 4 0 | 58.74 | 29.0 |

abc: 8.891 8.891 8.891
angles: 90.00 90.00 90.00
Space group Fm-3m (No. 225)
Inequivalent atoms, fractional coordinates:
K: 0.250 0.250 0.250
Na: 0.000 0.000 0.000
Tl: 0.000 0.000 0.500
F: 0.000 0.000 0.254

No. 2
This entry pairs a crystal structure of U2Si7Ni2 with its calculated powder diffraction line list. Radiation: copper Kα. Structure: the PBE geometry in the Materials Project.
Lines closer than 0.1° are merged.

The 10 most intense peaks (2θ from 15° to 90°), by angle:
| index | 2θ/deg | I (rel.) |
| --- | --- | --- |
| 1 0 0 | 22.38 | 56.4 |
| 0 0 6 | 25.08 | 28.4 |
| 0 1 3 | 25.34 | 37.0 |
| 0 1 5 | 30.47 | 31.2 |
| 1 1 1 | 31.85 | 30.2 |
| 1 0 6 | 33.86 | 63.9 |
| 1 1 3 | 34.06 | 100.0 |
| 0 2 0 | 44.81 | 26.4 |
| 2 0 0 | 45.67 | 26.5 |
| 1 2 6 | 57.32 | 28.7 |

abc: 3.973 4.046 21.302
angles: 90.00 90.00 90.00
Space group Amm2 (No. 38)
Inequivalent atoms, fractional coordinates:
U: 0.000 0.000 0.000
U: 0.000 0.000 0.337
Si: 0.000 0.000 0.610
Si: 0.000 0.000 0.728
Si: 0.500 0.000 0.109
Si: 0.500 0.000 0.228
Si: 0.500 0.000 0.439
Si: 0.500 0.000 0.545
Si: 0.500 0.000 0.885
Ni: 0.000 0.000 0.163
Ni: 0.500 0.000 0.779

No. 3
This entry pairs a crystal structure of ErCu4Ag with its calculated powder diffraction line list. Radiation: copper Kα. Structure: the PBE geometry in the Materials Project.
Lines closer than 0.1° are merged.

The 10 most intense peaks (2θ from 15° to 90°), by angle:
| index | 2θ/deg | I (rel.) |
| --- | --- | --- |
| 1 1 1 | 21.65 | 7.4 |
| 2 0 0 | 25.05 | 2.6 |
| 2 2 0 | 35.71 | 54.3 |
| 3 1 1 | 42.15 | 100.0 |
| 2 2 2 | 44.12 | 20.3 |
| 3 3 1 | 56.40 | 2.1 |
| 4 2 2 | 64.16 | 19.2 |
| 5 1 1 | 68.57 | 29.7 |
| 4 4 0 | 75.66 | 22.2 |
| 6 2 0 | 86.58 | 8.6 |

abc: 7.111 7.111 7.111
angles: 90.00 90.00 90.00
Space group F-43m (No. 216)
Inequivalent atoms, fractional coordinates:
Er: 0.000 0.000 0.000
Cu: 0.124 0.124 0.376
Ag: 0.250 0.250 0.750

No. 4
This entry pairs a crystal structure of Sm5Mg with its calculated powder diffraction line list. Radiation: copper Kα. Structure: the PBE geometry in the Materials Project.
Lines closer than 0.1° are merged.

The 10 most intense peaks (2θ from 15° to 90°), by angle:
| index | 2θ/deg | I (rel.) |
| --- | --- | --- |
| 0 1 2 | 19.41 | 8.2 |
| 1 1 0 | 28.54 | 25.3 |
| 0 0 6 | 31.44 | 24.6 |
| 1 1 3 | 32.67 | 100.0 |
| 1 1 6 | 42.98 | 16.7 |
| 3 0 0 | 50.55 | 19.1 |
| 1 1 9 | 56.76 | 20.7 |
| 3 0 6 | 60.75 | 22.0 |
| 2 2 3 | 61.50 | 15.9 |
| 4 1 3 | 83.54 | 13.2 |

abc: 6.2548 6.2548 17.0709
angles: 90.00 90.00 120.00
Space group R32 (No. 155, hexagonal axes)
Inequivalent atoms, fractional coordinates:
Sm: 0.0000 0.0000 0.1665
Sm: 0.0000 0.6542 0.0000
Mg: 0.0000 0.0000 0.5000

No. 5
This entry pairs a crystal structure of Ba2LuNbO6 with its calculated powder diffraction line list. Radiation: copper Kα. Structure: the PBE geometry in the Materials Project.
Lines closer than 0.1° are merged.

The 10 most intense peaks (2θ from 15° to 90°), by angle:
| index | 2θ/deg | I (rel.) |
| --- | --- | --- |
| 1 1 1 | 18.15 | 4.1 |
| 2 2 0 | 29.86 | 100.0 |
| 3 1 1 | 35.17 | 3.3 |
| 4 0 0 | 42.73 | 29.4 |
| 3 3 1 | 46.78 | 1.8 |
| 4 2 2 | 53.00 | 40.5 |
| 4 4 0 | 62.03 | 18.5 |
| 6 2 0 | 70.35 | 17.9 |
| 4 4 4 | 78.25 | 6.1 |
| 6 4 2 | 85.94 | 21.5 |

abc: 8.464 8.464 8.464
angles: 90.00 90.00 90.00
Space group Fm-3m (No. 225)
Inequivalent atoms, fractional coordinates:
Ba: 0.250 0.250 0.250
Lu: 0.000 0.000 0.000
Nb: 0.000 0.000 0.500
O: 0.000 0.000 0.260